This entry pairs a crystal structure of Li7Mn2Co3O12 with its simulated powder XRD pattern. Radiation: λ = 1.5418 Å (Cu Kα). Structure: a cell relaxed with GGA+U.
Peak positions follow from Bragg's law for the DFT cell and can differ from measured ones.

Principal peaks in the range 2θ = 5–70°, by intensity:
| 2θ/deg | intensity | index |
| --- | --- | --- |
| 18.35 | 100 | 0 1 1 |
| 41.09 | 37 | 1 1 4 |
| 43.97 | 29 | -1 1 4 |
| 45.04 | 25 | 0 2 -4 |
| 34.23 | 22 | 1 0 3 |
| 6.17 | 20 | 0 0 1 |
| 62.59 | 16 | 1 3 0 |
| 36.14 | 13 | 1 0 -3 |
| 36.89 | 10 | 0 1 -5 |
| 12.36 | 9 | 0 0 2 |
| 61.47 | 9 | 2 0 0 |
| 62.03 | 9 | 0 2 8 |

Atomic structure:
```
data_Li7Mn2Co3O12
_cell_length_a 3.0234
_cell_length_b 5.0513
_cell_length_c 14.3624
_cell_angle_alpha 86.95
_cell_angle_beta 86.56
_cell_angle_gamma 88.31
_space_group_name_H-M_alt 'P 1'
_space_group_IT_number 1
_space_group_name_Hall 'P 1'
loop_
_atom_site_label
_atom_site_type_symbol
_atom_site_fract_x
_atom_site_fract_y
_atom_site_fract_z
Li1 Li 0.0000 0.0000 0.0000
Li2 Li 0.0008 0.0000 0.4987
Li3 Li 0.0073 0.6704 0.8335
Li4 Li 0.4969 0.1655 0.3315
Li5 Li 0.5005 0.4999 0.9996
Li6 Li 0.5048 0.8356 0.6670
Li7 Li 0.9924 0.3297 0.1659
Mn1 Mn 0.0048 0.3285 0.6688
Mn2 Mn 0.4938 0.5018 0.4975
Co1 Co 0.4986 0.8346 0.1582
Co2 Co 0.5114 0.1623 0.8418
Co3 Co 0.9951 0.6738 0.3291
O1 O 0.0299 0.3234 0.9106
O2 O 0.0299 0.6484 0.5847
O3 O 0.0339 0.9799 0.2478
O4 O 0.4719 0.1828 0.5818
O5 O 0.4896 0.8156 0.4143
O6 O 0.4992 0.8656 0.9075
O7 O 0.5017 0.1330 0.0928
O8 O 0.5088 0.5351 0.2462
O9 O 0.5269 0.4659 0.7534
O10 O 0.9636 0.3557 0.4120
O11 O 0.9759 0.0173 0.7515
O12 O 0.9765 0.6761 0.0890
```

=====

This entry pairs a crystal structure of Li6Mn3CoO10 with its simulated powder XRD pattern. Radiation: λ = 1.5418 Å (Cu Kα). Structure: a cell relaxed with GGA+U.
Peak positions follow from Bragg's law for the DFT cell and can differ from measured ones.

Principal peaks in the range 2θ = 5–70°, by intensity:
| 2θ/deg | intensity | index |
| --- | --- | --- |
| 18.38 | 100 | 0 1 0 |
| 42.36 | 32 | 1 -2 2 |
| 44.27 | 29 | -1 1 3 |
| 44.40 | 29 | 2 1 -1 |
| 36.50 | 23 | 1 0 -3 |
| 63.04 | 16 | 3 -1 1 |
| 35.25 | 15 | 1 -1 2 |
| 12.71 | 10 | 0 0 1 |
| 63.38 | 8 | 0 1 -5 |
| 62.49 | 8 | -2 3 1 |
| 64.03 | 8 | 1 2 2 |
| 64.96 | 8 | 3 0 -4 |

Atomic structure:
```
data_Li6Mn3CoO10
_cell_length_a 5.0293
_cell_length_b 5.1863
_cell_length_c 7.6853
_cell_angle_alpha 103.77
_cell_angle_beta 107.25
_cell_angle_gamma 101.23
_space_group_name_H-M_alt 'P 1'
_space_group_IT_number 1
_space_group_name_Hall 'P 1'
loop_
_atom_site_label
_atom_site_type_symbol
_atom_site_fract_x
_atom_site_fract_y
_atom_site_fract_z
Li1 Li 0.0000 0.0000 0.0000
Li2 Li 0.0057 0.5057 0.5002
Li3 Li 0.1873 0.5087 0.9010
Li4 Li 0.3823 0.4910 0.2924
Li5 Li 0.6111 0.5052 0.7068
Li6 Li 0.8130 0.4960 0.0992
Mn1 Mn 0.4008 0.9925 0.8037
Mn2 Mn 0.5966 0.0073 0.1956
Mn3 Mn 0.8026 0.9990 0.6054
Co1 Co 0.1919 0.0081 0.3887
O1 O 0.0277 0.7549 0.7496
O2 O 0.2015 0.2095 0.6523
O3 O 0.2233 0.7709 0.1691
O4 O 0.4166 0.2205 0.0459
O5 O 0.4200 0.7720 0.5667
O6 O 0.5703 0.2320 0.4266
O7 O 0.5840 0.7811 0.9536
O8 O 0.7779 0.2328 0.8346
O9 O 0.8012 0.7920 0.3450
O10 O 0.9804 0.2389 0.2556
```

=====

This entry pairs a crystal structure of Li7Mn2Co3O12 with its simulated powder XRD pattern. Radiation: λ = 1.5418 Å (Cu Kα). Structure: a cell relaxed with GGA+U.
Peak positions follow from Bragg's law for the DFT cell and can differ from measured ones.

Principal peaks in the range 2θ = 5–70°, by intensity:
| 2θ/deg | intensity | index |
| --- | --- | --- |
| 18.32 | 100 | 0 0 2 |
| 43.87 | 56 | 3 1 -3 |
| 43.01 | 28 | 6 0 2 |
| 36.27 | 26 | 3 1 -1 |
| 62.99 | 22 | 6 0 -6 |
| 9.13 | 15 | 0 0 1 |
| 63.22 | 15 | 9 1 -1 |
| 35.50 | 14 | 6 0 0 |
| 57.70 | 10 | 3 1 -5 |
| 47.74 | 9 | 3 1 3 |
| 64.59 | 8 | 0 2 0 |
| 13.58 | 7 | 2 0 -1 |

Atomic structure:
```
data_Li7Mn2Co3O12
_cell_length_a 15.3879
_cell_length_b 2.8857
_cell_length_c 9.8226
_cell_angle_alpha 90.00
_cell_angle_beta 99.56
_cell_angle_gamma 90.00
_space_group_name_H-M_alt 'C 1 m 1'
_space_group_IT_number 8
_space_group_name_Hall 'C -2y'
loop_
_atom_site_label
_atom_site_type_symbol
_atom_site_fract_x
_atom_site_fract_y
_atom_site_fract_z
Li1 Li 0.0000 0.0000 0.0000
Li2 Li 0.0023 0.5000 0.5160
Li3 Li 0.1607 0.5000 0.0036
Li4 Li 0.1774 0.0000 0.5305
Li5 Li 0.2500 0.5000 0.7576
Li6 Li 0.3226 0.0000 0.9923
Li7 Li 0.3298 0.5000 0.5213
Mn1 Mn 0.4117 0.0000 0.7542
Mn2 Mn 0.4156 0.5000 0.2588
Co1 Co 0.0853 0.5000 0.2592
Co2 Co 0.0948 0.0000 0.7666
Co3 Co 0.2470 0.0000 0.2606
O1 O 0.0337 0.0000 0.3679
O2 O 0.0351 0.5000 0.8645
O3 O 0.1188 0.0000 0.1390
O4 O 0.1195 0.5000 0.6426
O5 O 0.1986 0.0000 0.8832
O6 O 0.2057 0.5000 0.3756
O7 O 0.2969 0.5000 0.1525
O8 O 0.3016 0.0000 0.6434
O9 O 0.3799 0.5000 0.8715
O10 O 0.3817 0.0000 0.3711
O11 O 0.4525 0.0000 0.1480
O12 O 0.4540 0.5000 0.6481
```

=====

This entry pairs a crystal structure of Li5Mn2CoO8 with its simulated powder XRD pattern. Radiation: λ = 1.5418 Å (Cu Kα). Structure: a cell relaxed with GGA+U.
Peak positions follow from Bragg's law for the DFT cell and can differ from measured ones.

Principal peaks in the range 2θ = 5–70°, by intensity:
| 2θ/deg | intensity | index |
| --- | --- | --- |
| 18.60 | 100 | 0 0 1 |
| 44.58 | 53 | 2 2 1 |
| 63.53 | 30 | 6 2 -1 |
| 42.83 | 29 | 4 0 -2 |
| 36.63 | 23 | 2 2 0 |
| 18.08 | 20 | 1 1 0 |
| 35.50 | 13 | 4 0 -1 |
| 23.45 | 11 | 1 1 -1 |
| 58.83 | 9 | 2 2 2 |
| 65.21 | 7 | 0 4 0 |
| 47.97 | 7 | 2 2 -2 |
| 64.56 | 7 | 4 0 2 |

Atomic structure:
```
data_Li5Mn2CoO8
_cell_length_a 10.2231
_cell_length_b 5.7231
_cell_length_c 5.1200
_cell_angle_alpha 90.00
_cell_angle_beta 111.28
_cell_angle_gamma 90.00
_space_group_name_H-M_alt 'C 1 2/m 1'
_space_group_IT_number 12
_space_group_name_Hall '-C 2y'
loop_
_atom_site_label
_atom_site_type_symbol
_atom_site_fract_x
_atom_site_fract_y
_atom_site_fract_z
Li1 Li 0.0000 0.0000 0.0000
Li2 Li 0.0000 0.2430 0.5000
Li3 Li 0.2470 0.0000 0.5026
Mn1 Mn 0.2500 0.2500 0.0000
Co1 Co 0.0000 0.5000 0.0000
O1 O 0.1267 0.2649 0.2121
O2 O 0.1362 0.0000 0.7695
O3 O 0.1425 0.5000 0.7607
```

=====

This entry pairs a crystal structure of Li3MnCoO5 with its simulated powder XRD pattern. Radiation: λ = 1.5418 Å (Cu Kα). Structure: a cell relaxed with GGA+U.
Peak positions follow from Bragg's law for the DFT cell and can differ from measured ones.

Principal peaks in the range 2θ = 5–70°, by intensity:
| 2θ/deg | intensity | index |
| --- | --- | --- |
| 18.25 | 100 | 0 1 -1 |
| 43.25 | 30 | 1 -1 3 |
| 43.83 | 29 | 1 1 -4 |
| 7.33 | 29 | 0 0 1 |
| 43.36 | 28 | 0 2 3 |
| 63.11 | 15 | 1 3 -1 |
| 35.88 | 14 | 1 0 2 |
| 36.25 | 13 | 1 0 -3 |
| 35.72 | 13 | 0 1 4 |
| 62.74 | 8 | 1 -3 0 |
| 14.68 | 8 | 0 0 2 |
| 64.07 | 8 | 2 0 -1 |

Atomic structure:
```
data_Li3MnCoO5
_cell_length_a 2.9071
_cell_length_b 5.1433
_cell_length_c 12.1762
_cell_angle_alpha 94.54
_cell_angle_beta 96.20
_cell_angle_gamma 90.39
_space_group_name_H-M_alt 'P 1'
_space_group_IT_number 1
_space_group_name_Hall 'P 1'
loop_
_atom_site_label
_atom_site_type_symbol
_atom_site_fract_x
_atom_site_fract_y
_atom_site_fract_z
Li1 Li 0.0000 0.0000 0.0000
Li2 Li 0.0766 0.7075 0.1910
Li3 Li 0.2983 0.1165 0.6032
Li4 Li 0.4855 0.5172 0.9961
Li5 Li 0.6830 0.9070 0.3929
Li6 Li 0.9161 0.3017 0.8089
Mn1 Mn 0.5816 0.1934 0.1921
Mn2 Mn 0.7906 0.6197 0.5992
Co1 Co 0.1865 0.4086 0.3959
Co2 Co 0.4060 0.8265 0.8136
O1 O 0.0462 0.3363 0.1107
O2 O 0.1254 0.0751 0.2922
O3 O 0.2478 0.7487 0.5065
O4 O 0.3294 0.4885 0.6850
O5 O 0.4489 0.1367 0.8889
O6 O 0.5418 0.8821 0.1078
O7 O 0.6263 0.5319 0.2995
O8 O 0.7454 0.2920 0.5002
O9 O 0.8414 0.9292 0.6950
O10 O 0.9446 0.6551 0.8898
```

=====

This entry pairs a crystal structure of Li4MnCo2O7 with its simulated powder XRD pattern. Radiation: λ = 1.5418 Å (Cu Kα). Structure: a cell relaxed with GGA+U.
Peak positions follow from Bragg's law for the DFT cell and can differ from measured ones.

Principal peaks in the range 2θ = 5–70°, by intensity:
| 2θ/deg | intensity | index |
| --- | --- | --- |
| 18.49 | 100 | 0 0 1 |
| 44.71 | 51 | 1 7 1 |
| 41.87 | 33 | 2 0 -2 |
| 36.76 | 23 | 1 7 0 |
| 34.75 | 17 | 2 0 -1 |
| 62.80 | 16 | 3 7 -1 |
| 63.04 | 15 | 1 7 -3 |
| 8.90 | 14 | 0 2 0 |
| 58.88 | 10 | 1 7 2 |
| 47.73 | 9 | 1 7 -2 |
| 37.95 | 7 | 1 7 -1 |
| 18.95 | 7 | 1 1 0 |

Atomic structure:
```
data_Li4MnCo2O7
_cell_length_a 5.2087
_cell_length_b 19.8608
_cell_length_c 5.1852
_cell_angle_alpha 90.00
_cell_angle_beta 112.27
_cell_angle_gamma 90.00
_space_group_name_H-M_alt 'C 1 2 1'
_space_group_IT_number 5
_space_group_name_Hall 'C 2y'
loop_
_atom_site_label
_atom_site_type_symbol
_atom_site_fract_x
_atom_site_fract_y
_atom_site_fract_z
Li1 Li 0.0000 0.0000 0.0000
Li2 Li 0.0000 0.0686 0.5000
Li3 Li 0.0000 0.2141 0.5000
Li4 Li 0.0000 0.3563 0.5000
Li5 Li 0.0000 0.4990 0.5000
Li6 Li 0.0000 0.6403 0.5000
Li7 Li 0.0000 0.7827 0.5000
Li8 Li 0.0000 0.9304 0.5000
Mn1 Mn 0.0000 0.4284 0.0000
Mn2 Mn 0.0000 0.8560 0.0000
Co1 Co 0.0000 0.1417 0.0000
Co2 Co 0.0000 0.2841 0.0000
Co3 Co 0.0000 0.5710 0.0000
Co4 Co 0.0000 0.7117 0.0000
O1 O 0.2191 0.5001 0.2353
O2 O 0.2234 0.3561 0.2342
O3 O 0.2227 0.6406 0.2301
O4 O 0.2247 0.2130 0.2234
O5 O 0.2266 0.7818 0.2294
O6 O 0.2402 0.4244 0.7859
O7 O 0.2419 0.5742 0.7952
```

=====

This entry pairs a crystal structure of Li4MnCo2O7 with its simulated powder XRD pattern. Radiation: λ = 1.5418 Å (Cu Kα). Structure: a cell relaxed with GGA+U.
Peak positions follow from Bragg's law for the DFT cell and can differ from measured ones.

Principal peaks in the range 2θ = 5–70°, by intensity:
| 2θ/deg | intensity | index |
| --- | --- | --- |
| 18.42 | 100 | 1 -1 0 |
| 42.75 | 31 | 2 -1 2 |
| 44.01 | 27 | 0 3 -1 |
| 44.44 | 27 | 2 0 -3 |
| 63.04 | 23 | 2 2 1 |
| 35.44 | 15 | 1 0 2 |
| 36.27 | 14 | 1 2 -1 |
| 36.62 | 12 | 1 1 -3 |
| 47.71 | 9 | 1 -3 3 |
| 63.67 | 8 | 0 1 -5 |
| 63.82 | 7 | -2 3 2 |
| 64.85 | 7 | 2 3 -4 |

Atomic structure:
```
data_Li4MnCo2O7
_cell_length_a 5.9007
_cell_length_b 6.5264
_cell_length_c 7.6650
_cell_angle_alpha 114.85
_cell_angle_beta 98.89
_cell_angle_gamma 104.13
_space_group_name_H-M_alt 'P 1'
_space_group_IT_number 1
_space_group_name_Hall 'P 1'
loop_
_atom_site_label
_atom_site_type_symbol
_atom_site_fract_x
_atom_site_fract_y
_atom_site_fract_z
Li1 Li 0.0000 0.0000 0.0000
Li2 Li 0.0684 0.5796 0.7203
Li3 Li 0.2093 0.7179 0.1394
Li4 Li 0.3600 0.8628 0.5761
Li5 Li 0.4999 0.0035 0.0002
Li6 Li 0.6405 0.1430 0.4280
Li7 Li 0.7849 0.2835 0.8555
Li8 Li 0.9245 0.4180 0.2805
Mn1 Mn 0.4253 0.4280 0.2844
Mn2 Mn 0.7157 0.7178 0.1423
Co1 Co 0.1304 0.1459 0.4253
Co2 Co 0.2848 0.2830 0.8599
Co3 Co 0.5792 0.5777 0.7190
Co4 Co 0.8629 0.8644 0.5820
O1 O 0.0038 0.7891 0.3485
O2 O 0.1449 0.3584 0.0752
O3 O 0.1737 0.9465 0.7785
O4 O 0.2562 0.4959 0.4876
O5 O 0.3208 0.0998 0.2346
O6 O 0.4157 0.6343 0.9399
O7 O 0.4469 0.2353 0.6551
O8 O 0.5381 0.7647 0.3447
O9 O 0.6106 0.3794 0.0923
O10 O 0.6760 0.9095 0.7696
O11 O 0.7238 0.5022 0.4905
O12 O 0.8142 0.0482 0.2118
O13 O 0.8751 0.6423 0.9363
O14 O 0.9672 0.2108 0.6341
```

=====

This entry pairs a crystal structure of Li4MnCo2O7 with its simulated powder XRD pattern. Radiation: λ = 1.5418 Å (Cu Kα). Structure: a cell relaxed with GGA+U.
Peak positions follow from Bragg's law for the DFT cell and can differ from measured ones.

Principal peaks in the range 2θ = 5–70°, by intensity:
| 2θ/deg | intensity | index |
| --- | --- | --- |
| 18.31 | 100 | 0 1 2 |
| 40.68 | 36 | -1 2 1 |
| 44.17 | 27 | 1 3 2 |
| 45.10 | 25 | 0 1 -5 |
| 33.99 | 20 | 1 -1 1 |
| 36.95 | 15 | 0 2 -3 |
| 36.29 | 13 | 1 2 0 |
| 8.10 | 9 | 0 0 1 |
| 61.41 | 9 | 2 1 1 |
| 61.79 | 9 | 0 5 3 |
| 62.29 | 8 | -1 1 6 |
| 62.39 | 8 | 1 -3 4 |

Atomic structure:
```
data_Li4MnCo2O7
_cell_length_a 3.0292
_cell_length_b 7.7957
_cell_length_c 11.1499
_cell_angle_alpha 79.56
_cell_angle_beta 83.41
_cell_angle_gamma 83.35
_space_group_name_H-M_alt 'P 1'
_space_group_IT_number 1
_space_group_name_Hall 'P 1'
loop_
_atom_site_label
_atom_site_type_symbol
_atom_site_fract_x
_atom_site_fract_y
_atom_site_fract_z
Li1 Li 0.0000 0.0000 0.0000
Li2 Li 0.0723 0.2153 0.6425
Li3 Li 0.2098 0.6440 0.9327
Li4 Li 0.3603 0.0688 0.2104
Li5 Li 0.5035 0.5014 0.4969
Li6 Li 0.6358 0.9334 0.7918
Li7 Li 0.7867 0.3594 0.0678
Li8 Li 0.9275 0.7862 0.3539
Mn1 Mn 0.2809 0.8628 0.5700
Mn2 Mn 0.8594 0.5687 0.7165
Co1 Co 0.1429 0.4302 0.2826
Co2 Co 0.4380 0.2723 0.8628
Co3 Co 0.5702 0.7277 0.1384
Co4 Co 0.7061 0.1475 0.4251
O1 O 0.0528 0.1210 0.8247
O2 O 0.0697 0.3221 0.4528
O3 O 0.2023 0.5422 0.1158
O4 O 0.2233 0.7509 0.7441
O5 O 0.3403 0.9747 0.3993
O6 O 0.3877 0.1926 0.0199
O7 O 0.4828 0.3907 0.6933
O8 O 0.5534 0.6085 0.3056
O9 O 0.6107 0.8075 0.9814
O10 O 0.6567 0.0392 0.5946
O11 O 0.7215 0.2558 0.2578
O12 O 0.8054 0.4564 0.8855
O13 O 0.9228 0.6790 0.5428
O14 O 0.9563 0.8799 0.1749
```